[1]
This entry pairs a crystal structure of Cr2Sn9Au with its computed PXRD pattern. Radiation: Cu Ka. Structure: a GGA-PBE-relaxed structure.

Principal peaks in the range 10 to 80 degrees two-theta, in order of rising 2θ:
two_theta  Rel. int.
11.94  10
26.90  12
31.22  100
31.39  45
38.41  50
50.41  46
55.77  20
65.11  10
70.37  14
78.57  13

Cell and atoms:
abc: 7.412 7.412 5.699
angles: 90.00 90.00 90.00
Sites, in units of the cell vectors:
Cr (0.000, 0.000, 0.000)
Cr (0.000, 0.000, 0.500)
Sn (0.121, 0.658, 0.000)
Sn (0.145, 0.348, 0.500)
Sn (0.342, 0.121, 0.000)
Sn (0.348, 0.855, 0.500)
Sn (0.500, 0.500, 0.000)
Sn (0.652, 0.145, 0.500)
Sn (0.658, 0.879, 0.000)
Sn (0.855, 0.652, 0.500)
Sn (0.879, 0.342, 0.000)
Au (0.500, 0.500, 0.500)

[2]
This entry pairs a crystal structure of CrTe4Au with its computed PXRD pattern. Radiation: Cu Ka. Structure: a GGA-PBE-relaxed structure.

Principal peaks in the range 10 to 80 degrees two-theta, in order of rising 2θ:
two_theta  Rel. int.
15.93  27
19.86  22
28.60  52
29.58  100
32.26  21
41.00  24
41.11  24
42.11  36
44.45  21
53.70  19

Cell and atoms:
abc: 5.563 4.076 7.572
angles: 90.00 90.33 90.00
Sites, in units of the cell vectors:
Cr (0.000, 0.000, 0.000)
Te (0.218, 0.000, 0.324)
Te (0.294, 0.500, 0.883)
Te (0.706, 0.500, 0.117)
Te (0.782, 0.000, 0.676)
Au (0.000, 0.500, 0.500)

[3]
This entry pairs a crystal structure of CsAu with its computed PXRD pattern. Radiation: Cu Ka. Structure: a GGA-PBE-relaxed structure.

Principal peaks in the range 10 to 80 degrees two-theta, in order of rising 2θ:
two_theta  Rel. int.
20.27  5
28.82  100
35.49  2
41.21  19
46.34  3
51.07  41
59.70  13
63.73  1
67.62  18
75.12  4

Cell and atoms:
abc: 4.381 4.381 4.381
angles: 90.00 90.00 90.00
Sites, in units of the cell vectors:
Cs (0.000, 0.000, 0.000)
Au (0.500, 0.500, 0.500)

[4]
This entry pairs a crystal structure of Cs2CuAuF6 with its computed PXRD pattern. Radiation: Cu Ka. Structure: a GGA-PBE-relaxed structure.

Principal peaks in the range 10 to 80 degrees two-theta, in order of rising 2θ:
two_theta  Rel. int.
17.48  11
28.74  100
33.83  10
41.09  33
44.97  6
50.91  41
54.24  3
59.51  21
67.40  19
74.86  7

Cell and atoms:
abc: 6.214 6.214 6.214
angles: 60.00 60.00 60.00
Sites, in units of the cell vectors:
Cs (0.250, 0.250, 0.250)
Cs (0.750, 0.750, 0.750)
Cu (0.000, 0.000, 0.000)
Au (0.500, 0.500, 0.500)
F (0.233, 0.233, 0.767)
F (0.233, 0.767, 0.233)
F (0.233, 0.767, 0.767)
F (0.767, 0.233, 0.233)
F (0.767, 0.233, 0.767)
F (0.767, 0.767, 0.233)

[5]
This entry pairs a crystal structure of Cs3AuF6 with its computed PXRD pattern. Radiation: Cu Ka. Structure: a GGA-PBE-relaxed structure.

Principal peaks in the range 10 to 80 degrees two-theta, in order of rising 2θ:
two_theta  Rel. int.
11.84  100
12.42  88
12.58  85
23.80  50
24.99  35
25.32  32
28.44  27
30.17  24
34.22  25
36.07  20

Cell and atoms:
abc: 7.651 7.730 7.786
angles: 75.92 69.03 88.83
Sites, in units of the cell vectors:
Cs (0.000, 0.000, 0.000)
Cs (0.000, 0.500, 0.500)
Cs (0.500, 0.000, 0.500)
Au (0.000, 0.000, 0.500)
F (0.069, 0.805, 0.679)
F (0.198, 0.215, 0.620)
F (0.220, 0.954, 0.288)
F (0.780, 0.046, 0.712)
F (0.802, 0.785, 0.380)
F (0.931, 0.195, 0.321)

[6]
This entry pairs a crystal structure of CsAu2F7 with its computed PXRD pattern. Radiation: Cu Ka. Structure: a GGA-PBE-relaxed structure.

Principal peaks in the range 10 to 80 degrees two-theta, in order of rising 2θ:
two_theta  Rel. int.
21.24  100
23.52  29
24.31  65
25.48  41
26.85  47
28.65  36
35.05  19
39.30  31
45.59  16
47.88  18

Cell and atoms:
abc: 8.042 8.042 7.623
angles: 113.44 113.44 87.15
Sites, in units of the cell vectors:
Cs (0.191, 0.809, 0.750)
Cs (0.809, 0.191, 0.250)
Au (0.215, 0.413, 0.144)
Au (0.413, 0.215, 0.644)
Au (0.587, 0.785, 0.356)
Au (0.785, 0.587, 0.856)
F (0.020, 0.513, 0.234)
F (0.098, 0.168, 0.039)
F (0.168, 0.098, 0.539)
F (0.314, 0.408, 0.552)
F (0.322, 0.678, 0.250)
F (0.408, 0.314, 0.052)
F (0.487, 0.980, 0.266)
F (0.513, 0.020, 0.734)
F (0.592, 0.686, 0.948)
F (0.678, 0.322, 0.750)
F (0.686, 0.592, 0.448)
F (0.832, 0.902, 0.461)
F (0.902, 0.832, 0.961)
F (0.980, 0.487, 0.766)

[7]
This entry pairs a crystal structure of CsAuF4 with its computed PXRD pattern. Radiation: Cu Ka. Structure: a GGA-PBE-relaxed structure.

Principal peaks in the range 10 to 80 degrees two-theta, in order of rising 2θ:
two_theta  Rel. int.
24.67  100
25.81  20
28.12  13
31.51  23
38.54  14
41.16  12
44.83  22
47.73  13
50.60  14
52.13  14

Cell and atoms:
abc: 7.762 7.762 7.762
angles: 137.09 127.19 70.32
Sites, in units of the cell vectors:
Cs (0.221, 0.221, 0.000)
Cs (0.779, 0.779, 0.000)
Au (0.000, 0.500, 0.500)
Au (0.500, 0.000, 0.500)
F (0.083, 0.387, 0.696)
F (0.215, 0.000, 0.215)
F (0.308, 0.613, 0.696)
F (0.345, 0.845, 0.500)
F (0.655, 0.155, 0.500)
F (0.692, 0.387, 0.304)
F (0.785, 0.000, 0.785)
F (0.917, 0.613, 0.304)

[8]
This entry pairs a crystal structure of Cs2HgAuF6 with its computed PXRD pattern. Radiation: Cu Ka. Structure: a GGA-PBE-relaxed structure.

Principal peaks in the range 10 to 80 degrees two-theta, in order of rising 2θ:
two_theta  Rel. int.
19.18  9
27.26  100
38.93  31
43.75  5
48.17  43
56.23  20
59.98  2
63.59  19
70.50  7
77.13  23

Cell and atoms:
abc: 6.543 6.543 6.543
angles: 60.00 60.00 60.00
Sites, in units of the cell vectors:
Cs (0.250, 0.250, 0.250)
Cs (0.750, 0.750, 0.750)
Hg (0.000, 0.000, 0.000)
Au (0.500, 0.500, 0.500)
F (0.253, 0.253, 0.747)
F (0.253, 0.747, 0.253)
F (0.253, 0.747, 0.747)
F (0.747, 0.253, 0.253)
F (0.747, 0.253, 0.747)
F (0.747, 0.747, 0.253)

[9]
This entry pairs a crystal structure of Cs2InAuF6 with its computed PXRD pattern. Radiation: Cu Ka. Structure: a GGA-PBE-relaxed structure.

Principal peaks in the range 10 to 80 degrees two-theta, in order of rising 2θ:
two_theta  Rel. int.
16.51  3
19.08  4
27.11  100
31.91  3
38.72  32
47.91  42
55.91  20
63.22  20
70.08  7
76.66  22

Cell and atoms:
abc: 6.578 6.578 6.578
angles: 60.00 60.00 60.00
Sites, in units of the cell vectors:
Cs (0.250, 0.250, 0.250)
Cs (0.750, 0.750, 0.750)
In (0.000, 0.000, 0.000)
Au (0.500, 0.500, 0.500)
F (0.228, 0.228, 0.772)
F (0.228, 0.772, 0.228)
F (0.228, 0.772, 0.772)
F (0.772, 0.228, 0.228)
F (0.772, 0.228, 0.772)
F (0.772, 0.772, 0.228)

[10]
This entry pairs a crystal structure of CsK2AuF6 with its computed PXRD pattern. Radiation: Cu Ka. Structure: a GGA-PBE-relaxed structure.

Principal peaks in the range 10 to 80 degrees two-theta, in order of rising 2θ:
two_theta  Rel. int.
15.76  11
18.22  67
25.87  100
36.91  37
41.46  32
45.63  41
53.19  24
56.70  16
60.07  21
72.64  23

Cell and atoms:
abc: 6.888 6.888 6.888
angles: 60.00 60.00 60.00
Sites, in units of the cell vectors:
Cs (0.000, 0.000, 0.000)
K (0.250, 0.250, 0.250)
K (0.750, 0.750, 0.750)
Au (0.500, 0.500, 0.500)
F (0.279, 0.279, 0.721)
F (0.279, 0.721, 0.279)
F (0.279, 0.721, 0.721)
F (0.721, 0.279, 0.279)
F (0.721, 0.279, 0.721)
F (0.721, 0.721, 0.279)

What did the fifth record say?
This entry pairs a crystal structure of Cs3AuF6 with its computed PXRD pattern. Radiation: Cu Ka. Structure: a GGA-PBE-relaxed structure.

Principal peaks in the range 10 to 80 degrees two-theta, in order of rising 2θ:
two_theta  Rel. int.
11.84  100
12.42  88
12.58  85
23.80  50
24.99  35
25.32  32
28.44  27
30.17  24
34.22  25
36.07  20

Cell and atoms:
abc: 7.651 7.730 7.786
angles: 75.92 69.03 88.83
Sites, in units of the cell vectors:
Cs (0.000, 0.000, 0.000)
Cs (0.000, 0.500, 0.500)
Cs (0.500, 0.000, 0.500)
Au (0.000, 0.000, 0.500)
F (0.069, 0.805, 0.679)
F (0.198, 0.215, 0.620)
F (0.220, 0.954, 0.288)
F (0.780, 0.046, 0.712)
F (0.802, 0.785, 0.380)
F (0.931, 0.195, 0.321)